Na7W9O27: simulated X-ray diffraction stick pattern (a wavelength of 1.5418 Å), based on a structure optimized by DFT (GGA+U).
Neutral-atom scattering factors, no anomalous dispersion.

Most intense lines, 2θ from 10° to 90°, sorted by position:
(1 2 1), 22.47 deg, I 100.0
(0 2 3), 31.88 deg, I 14.4
(0 1 -3), 32.01 deg, I 71.6
(2 4 2), 45.81 deg, I 19.0
(2 -2 2), 45.98 deg, I 9.4
(3 3 3), 51.54 deg, I 14.2
(3 -2 0), 51.68 deg, I 21.1
(1 -2 4), 51.79 deg, I 7.0
(2 3 5), 56.89 deg, I 11.7
(4 0 1), 57.02 deg, I 14.6

Atomic structure:
a b c (Å): 6.8545 8.8485 9.7040
angles (deg): 79.13 90.00 75.02
Space group P1 (No. 1)
Symmetry-distinct sites (fractional):
1 Na 0.0000 0.0000 0.0000 x1
2 Na 0.1030 0.6651 0.5542 x1
3 Na 0.4462 0.6655 0.2209 x1
4 Na 0.5541 0.3254 0.7777 x1
5 Na 0.6622 0.0031 0.3336 x1
6 Na 0.7724 0.6623 0.8937 x1
7 Na 0.8847 0.3253 0.4451 x1
8 W 0.0521 0.3289 0.7775 x1
9 W 0.1632 0.9993 0.3328 x1
10 W 0.2757 0.6611 0.8913 x1
11 W 0.3870 0.3285 0.4445 x1
12 W 0.4957 0.0005 0.9987 x1
13 W 0.6058 0.6660 0.5577 x1
14 W 0.7202 0.3311 0.1122 x1
15 W 0.8302 0.9966 0.6662 x1
16 W 0.9418 0.6624 0.2216 x1
17 O 0.0392 0.8313 0.7760 x1
18 O 0.0596 0.8337 0.2765 x1
19 O 0.1066 0.6661 0.0624 x1
20 O 0.1656 0.4956 0.3482 x1
21 O 0.1694 0.5037 0.8342 x1
22 O 0.2240 0.3337 0.6220 x1
23 O 0.2681 0.1537 0.8977 x1
24 O 0.2699 0.1589 0.3865 x1
25 O 0.3498 0.9809 0.1684 x1
26 O 0.3818 0.8244 0.9477 x1
27 O 0.3835 0.8197 0.4505 x1
28 O 0.4606 0.6504 0.7263 x1
29 O 0.5029 0.4951 0.0067 x1
30 O 0.5107 0.4964 0.5013 x1
31 O 0.5641 0.3182 0.2854 x1
32 O 0.5984 0.1635 0.5597 x1
33 O 0.6099 0.1595 0.0469 x1
34 O 0.6535 0.9952 0.8354 x1
35 O 0.7159 0.8285 0.6045 x1
36 O 0.7185 0.8302 0.1010 x1
37 O 0.7702 0.6770 0.3828 x1
38 O 0.8246 0.4969 0.1750 x1
39 O 0.8405 0.5071 0.6517 x1
40 O 0.8768 0.3471 0.9308 x1
41 O 0.9245 0.1710 0.7213 x1
42 O 0.9404 0.1612 0.2055 x1
43 O 0.9722 0.0075 0.4881 x1